The following is a calculated X-ray diffraction stick pattern of K2Nb3S6. It was derived from a cell relaxed with GGA-PBE, using Cu Kα, 1.54184 Å.

Peak list (10 most intense, 15 to 90 degrees two-theta, in order of rising 2θ)
two_theta, I_rel
22.40, 17
30.11, 34
32.20, 57
37.86, 100
45.96, 44
53.48, 31
54.81, 15
55.73, 15
67.38, 17
72.95, 13

Atomic structure:
Cell: 15.8737 5.9352 5.9352 Å, 120.00 90.00 90.00°
Atoms (fractional coordinates):
1 K 0.0000 0.1667 0.8333
2 K 0.0000 0.8333 0.1667
3 K 0.5000 0.1668 0.5001
4 K 0.5000 0.5001 0.1668
5 Nb 0.2503 0.1673 0.8334
6 Nb 0.2503 0.4995 0.4995
7 Nb 0.2503 0.8334 0.1673
8 Nb 0.7497 0.1673 0.8334
9 Nb 0.7497 0.4995 0.4995
10 Nb 0.7497 0.8334 0.1673
11 S 0.1531 0.1680 0.1680
12 S 0.1531 0.5003 0.8319
13 S 0.1531 0.8319 0.5003
14 S 0.3473 0.1649 0.1649
15 S 0.3473 0.5021 0.8332
16 S 0.3473 0.8332 0.5021
17 S 0.6527 0.1649 0.1649
18 S 0.6527 0.5021 0.8332
19 S 0.6527 0.8332 0.5021
20 S 0.8469 0.1680 0.1680
21 S 0.8469 0.5003 0.8319
22 S 0.8469 0.8319 0.5003



The following is a calculated X-ray diffraction stick pattern of KNb6Te8. It was derived from a cell relaxed with GGA-PBE, using Cu Kα, 1.54184 Å.

Peak list (10 most intense, 15 to 90 degrees two-theta, in order of rising 2θ)
two_theta, I_rel
28.47, 43
29.15, 26
30.69, 64
34.38, 69
34.96, 100
41.20, 38
42.36, 25
48.83, 27
61.32, 24
75.21, 35

Atomic structure:
Cell: 10.8601 10.8601 3.7104 Å, 90.00 90.00 120.00°
Atoms (fractional coordinates):
1 K 0.0000 0.0000 0.0000
2 Nb 0.1012 0.6120 0.7515
3 Nb 0.3880 0.4892 0.7515
4 Nb 0.4892 0.1012 0.2485
5 Nb 0.5108 0.8988 0.7515
6 Nb 0.6120 0.5108 0.2485
7 Nb 0.8988 0.3880 0.2485
8 Te 0.0632 0.3380 0.7467
9 Te 0.2747 0.9368 0.7467
10 Te 0.3333 0.6667 0.2505
11 Te 0.3380 0.2747 0.2533
12 Te 0.6620 0.7253 0.7467
13 Te 0.6667 0.3333 0.7495
14 Te 0.7253 0.0632 0.2533
15 Te 0.9368 0.6620 0.2533



The following is a calculated X-ray diffraction stick pattern of KNd. It was derived from a cell relaxed with GGA-PBE, using Cu Kα, 1.54184 Å.

Peak list (10 most intense, 15 to 90 degrees two-theta, in order of rising 2θ)
two_theta, I_rel
24.57, 35
27.67, 37
30.34, 100
37.33, 33
47.01, 29
48.93, 15
55.50, 21
58.67, 15
63.09, 12
79.81, 12

Atomic structure:
Cell: 3.7230 3.7230 7.2460 Å, 90.00 90.00 120.00°
Atoms (fractional coordinates):
1 K 0.0000 0.0000 0.0000
2 Nd 0.6667 0.3333 0.5000